Starting from a DFT-relaxed cell (GGA-PBE, Alexandria), the powder X-ray diffraction pattern of PuNiPH2 was calculated for Cu Kα (λ = 1.5418 Å).

Most intense lines, 2θ = 10–90°, in order of rising 2θ:
h k l  two_theta  intensity
0 2 0  17.91  26.1
1 1 1  29.54  100.0
0 0 2  30.03  20.2
0 2 2  35.18  44.8
0 4 0  36.24  38.8
0 4 1  39.38  69.0
1 1 2  39.71  21.2
1 1 3  53.02  21.2
0 4 3  59.70  20.6
1 5 2  61.36  37.8

Atomic structure:
```
data_PuNiPH2
_cell_length_a 3.7534
_cell_length_b 9.9075
_cell_length_c 5.9523
_cell_angle_alpha 90.00
_cell_angle_beta 90.00
_cell_angle_gamma 90.00
_space_group_name_H-M_alt 'C m c m'
_space_group_IT_number 63
_space_group_name_Hall '-C 2c 2'
loop_
_atom_site_label
_atom_site_type_symbol
_atom_site_fract_x
_atom_site_fract_y
_atom_site_fract_z
_atom_site_occupancy
Pu1 Pu 0.0000 0.2144 0.2500 1
Ni1 Ni 0.0000 0.5000 0.0000 1
P1 P 0.0000 0.0639 0.7500 1
H1 H 0.0000 0.3407 0.5634 1
```